For NaNb2ZnF11, a PBE-relaxed structure gives the theoretical powder XRD pattern in this record (Cu Kα (weighted mean of Kα1 and Kα2)).
Lines closer than 0.1° are merged.

Peak list (6 most intense, 2θ = 5–70°, sorted by position)
17.54°, rel. 37; 22.27°, rel. 100; 27.15°, rel. 90; 27.31°, rel. 45; 48.17°, rel. 35; 53.86°, rel. 29

Unit cell a=5.523 b=5.523 c=7.601 alpha=110.97 beta=110.97 gamma=72.49
Atoms (fractional coordinates):
Na 0.000 0.000 0.000
Nb 0.494 0.494 0.766
Nb 0.506 0.506 0.234
Zn 0.000 0.000 0.500
F 0.179 0.777 0.693
F 0.223 0.821 0.307
F 0.242 0.242 0.656
F 0.260 0.260 0.103
F 0.327 0.673 0.000
F 0.500 0.500 0.500
F 0.673 0.327 0.000
F 0.740 0.740 0.897
F 0.758 0.758 0.344
F 0.777 0.179 0.693
F 0.821 0.223 0.307